# 1
For Ac2YIn3, a cell relaxed with PBE gives the computed powder diffraction line list in this record (Cu Kα).
No peak broadening, texture or thermal motion is included.

Cell lengths 3.9629, 3.9629, 12.1587 Å; angles 90.00, 90.00, 90.00 degrees
Positions (direct):
Ac 0.0000 0.0000 0.1768
Ac 0.0000 0.0000 0.8232
Y 0.0000 0.0000 0.5000
In 0.5000 0.5000 0.0000
In 0.5000 0.5000 0.3595
In 0.5000 0.5000 0.6405

Top 10 peaks for 2θ = 10–90°, by angle:
- 26.86 deg, intensity 13
- 31.58 deg, intensity 100
- 31.94 deg, intensity 53
- 44.72 deg, intensity 7
- 45.79 deg, intensity 19
- 56.00 deg, intensity 15
- 56.69 deg, intensity 38
- 65.93 deg, intensity 9
- 75.73 deg, intensity 8
- 75.93 deg, intensity 9

# 2
For AcYZn2In2, a cell relaxed with PBE gives the computed powder diffraction line list in this record (Cu Kα).
No peak broadening, texture or thermal motion is included.

Cell lengths 4.7397, 4.7397, 7.9361 Å; angles 90.00, 90.00, 120.00 degrees
Positions (direct):
Ac 0.0000 0.0000 0.0000
Y 0.0000 0.0000 0.5000
Zn 0.3333 0.6667 0.6959
Zn 0.6667 0.3333 0.3041
In 0.3333 0.6667 0.2790
In 0.6667 0.3333 0.7210

Top 10 peaks for 2θ = 10–90°, by angle:
- 24.41 deg, intensity 30
- 31.35 deg, intensity 100
- 37.97 deg, intensity 62
- 45.70 deg, intensity 13
- 50.04 deg, intensity 27
- 51.79 deg, intensity 15
- 60.88 deg, intensity 23
- 64.49 deg, intensity 25
- 68.59 deg, intensity 11
- 89.58 deg, intensity 11

# 3
For Ac4Zn3In, a cell relaxed with PBE gives the computed powder diffraction line list in this record (Cu Kα).
No peak broadening, texture or thermal motion is included.

Cell lengths 9.7231, 9.7231, 9.7231 Å; angles 33.43, 33.43, 33.43 degrees
Positions (direct):
Ac 0.1214 0.1214 0.1214
Ac 0.3714 0.3714 0.3714
Ac 0.6286 0.6286 0.6286
Ac 0.8786 0.8786 0.8786
Zn 0.0000 0.0000 0.0000
Zn 0.2490 0.2490 0.2490
Zn 0.7510 0.7510 0.7510
In 0.5000 0.5000 0.5000

Top 10 peaks for 2θ = 10–90°, by angle:
- 22.45 deg, intensity 24
- 31.96 deg, intensity 100
- 39.45 deg, intensity 6
- 45.83 deg, intensity 18
- 51.67 deg, intensity 6
- 56.81 deg, intensity 9
- 57.01 deg, intensity 29
- 66.92 deg, intensity 6
- 75.91 deg, intensity 8
- 76.06 deg, intensity 8